The following is a calculated powder X-ray diffraction pattern of PmTcO5. It was derived from a DFT-relaxed cell (GGA-PBE, Alexandria), using λ = 1.5418 Å (Cu Kα).
Neutral-atom scattering factors, no anomalous dispersion.

Peak list (10 most intense, 2θ = 5–70°, sorted by position)
hkl, two_theta, d_spacing, intensity
2 0 0, 21.36, 4.159, 1000
1 1 -2, 27.10, 3.290, 966
0 2 0, 27.53, 3.240, 379
3 1 -2, 34.76, 2.581, 550
2 2 0, 35.12, 2.555, 223
4 0 0, 43.52, 2.080, 211
2 0 -4, 47.62, 1.910, 154
1 3 -2, 48.40, 1.881, 164
5 1 -2, 52.02, 1.758, 289
0 0 4, 52.74, 1.736, 149

Cell and atoms:
```
data_PmTcO5
_symmetry_space_group_name_H-M 'C 1 2/c 1'
_symmetry_Int_Tables_number 15
_cell_length_a 9.153
_cell_length_b 6.480
_cell_length_c 7.639
_cell_angle_alpha 90.00
_cell_angle_beta 114.66
_cell_angle_gamma 90.00
loop_
_symmetry_equiv_pos_as_xyz
'x,y,z'
'-x,-y,-z'
'-x,y,-z+1/2'
'x,-y,z+1/2'
'x+1/2,y+1/2,z'
'-x+1/2,-y+1/2,-z'
'-x+1/2,y+1/2,-z+1/2'
'x+1/2,-y+1/2,z+1/2'
loop_
_atom_site_label
_atom_site_fract_x
_atom_site_fract_y
_atom_site_fract_z
Pm1 0.000 0.057 0.250
Tc1 0.000 0.500 0.000
O1 0.000 0.431 0.250
O2 0.011 0.213 0.963
O3 0.219 0.483 0.612
```